Structure and simulated powder XRD pattern of RbTi3FeO8 (a cell relaxed with GGA+U; Cu Kα).

Most intense lines, 2θ = 5–70°, sorted by position:
d/Å  2θ (°)  intensity
3.260  27.36  95
3.243  27.50  100
2.897  30.86  26
2.524  35.57  90
2.266  39.79  77
1.925  47.23  26
1.921  47.32  28
1.714  53.47  39
1.617  56.93  29
1.610  57.21  30

abc: 7.396 7.396 10.276
angles: 133.55 133.55 23.56
Positions (direct):
Rb1 0.000 0.000 0.000
Ti1 0.156 0.156 0.825
Ti2 0.337 0.337 0.481
Ti3 0.667 0.667 0.517
Fe1 0.852 0.852 0.186
O1 0.046 0.046 0.379
O2 0.295 0.295 0.640
O3 0.334 0.334 0.297
O4 0.341 0.341 0.041
O5 0.650 0.650 0.942
O6 0.666 0.666 0.706
O7 0.707 0.707 0.363
O8 0.959 0.959 0.625